(1)
Structure and calculated powder X-ray diffraction pattern of NpGaO6 (a DFT-relaxed cell (PBE, Alexandria); Cu Kα (λ = 1.5418 Å)).
Peak positions follow from Bragg's law for the DFT cell and can differ from measured ones.

The 8 most intense peaks (10° ≤ 2θ ≤ 90°), in order of rising 2θ:
- 19.2 deg, I 96.9
- 20.5 deg, I 36.3
- 24.4 deg, I 100.0
- 30.4 deg, I 49.8
- 41.3 deg, I 38.5
- 41.8 deg, I 39.3
- 54.6 deg, I 35.3
- 63.2 deg, I 29.9

Cell and atoms:
abc: 5.042 9.263 5.045
angles: 90.00 104.09 90.00
Space group C2/m (No. 12)
Inequivalent atoms, fractional coordinates:
Np 0.000 0.000 0.000 x2
Ga 0.000 0.500 0.500 x2
O 0.239 0.500 0.259 x4
O 0.240 0.136 0.242 x8

=====

(2)
Structure and calculated powder X-ray diffraction pattern of Sr2NpGaO6 (a DFT-relaxed cell (PBE, Alexandria); Cu Kα (λ = 1.5418 Å)).
Peak positions follow from Bragg's law for the DFT cell and can differ from measured ones.

The 8 most intense peaks (10° ≤ 2θ ≤ 90°), in order of rising 2θ:
- 18.7 deg, I 38.3
- 21.7 deg, I 22.6
- 30.8 deg, I 100.0
- 30.9 deg, I 50.2
- 36.3 deg, I 20.0
- 44.1 deg, I 42.6
- 54.8 deg, I 47.4
- 54.9 deg, I 16.7

Cell and atoms:
abc: 5.799 5.813 10.024
angles: 90.00 125.13 90.00
Space group P2_1/c (No. 14)
Inequivalent atoms, fractional coordinates:
Sr 0.243 0.027 0.249 x4
Np 0.500 0.000 0.000 x2
Ga 0.000 0.000 0.500 x2
O 0.177 0.226 0.965 x4
O 0.239 0.713 0.965 x4
O 0.309 0.014 0.743 x4

=====

(3)
Structure and calculated powder X-ray diffraction pattern of SrNpGa2O8 (a DFT-relaxed cell (PBE, Alexandria); Cu Kα (λ = 1.5418 Å)).
Peak positions follow from Bragg's law for the DFT cell and can differ from measured ones.

The 8 most intense peaks (10° ≤ 2θ ≤ 90°), in order of rising 2θ:
- 17.8 deg, I 23.5
- 18.2 deg, I 49.2
- 25.2 deg, I 100.0
- 32.0 deg, I 81.8
- 36.0 deg, I 23.8
- 48.9 deg, I 66.3
- 60.9 deg, I 16.2
- 62.2 deg, I 19.4

Cell and atoms:
abc: 7.065 7.065 6.747
angles: 90.00 90.00 90.00
Space group I-4m2 (No. 119)
Inequivalent atoms, fractional coordinates:
Sr 0.000 0.000 0.000 x2
Np 0.000 0.500 0.250 x2
Ga 0.000 0.000 0.500 x2
Ga 0.000 0.500 0.750 x2
O 0.000 0.207 0.323 x8
O 0.000 0.335 0.960 x8

=====

(4)
Structure and calculated powder X-ray diffraction pattern of NpPa2Ga6 (a DFT-relaxed cell (PBE, Alexandria); Cu Kα (λ = 1.5418 Å)).
Peak positions follow from Bragg's law for the DFT cell and can differ from measured ones.

The 8 most intense peaks (10° ≤ 2θ ≤ 90°), in order of rising 2θ:
- 22.0 deg, I 46.8
- 36.8 deg, I 100.0
- 38.5 deg, I 68.1
- 44.8 deg, I 7.7
- 54.3 deg, I 33.0
- 68.6 deg, I 33.0
- 69.7 deg, I 11.9
- 74.0 deg, I 20.2

Cell and atoms:
abc: 8.0930 8.0930 3.0657
angles: 90.00 90.00 120.00
Space group P6/mmm (No. 191)
Inequivalent atoms, fractional coordinates:
Np 0.0000 0.0000 0.0000 x1
Pa 0.3333 0.6667 0.0000 x2
Ga 0.0000 0.3296 0.5000 x6

=====

(5)
Structure and calculated powder X-ray diffraction pattern of NpGa2Pd2 (a DFT-relaxed cell (PBE, Alexandria); Cu Kα (λ = 1.5418 Å)).
Peak positions follow from Bragg's law for the DFT cell and can differ from measured ones.

The 8 most intense peaks (10° ≤ 2θ ≤ 90°), in order of rising 2θ:
- 10.7 deg, I 29.3
- 24.1 deg, I 59.0
- 30.6 deg, I 53.0
- 39.2 deg, I 82.5
- 39.3 deg, I 64.3
- 40.7 deg, I 100.0
- 43.8 deg, I 53.6
- 60.2 deg, I 52.8

Cell and atoms:
abc: 5.533 4.138 8.264
angles: 90.00 90.00 90.00
Space group Pmma (No. 51)
Inequivalent atoms, fractional coordinates:
Np 0.000 0.000 0.000 x2
Ga 0.250 0.000 0.399 x2
Ga 0.250 0.500 0.771 x2
Pd 0.000 0.500 0.500 x2
Pd 0.250 0.500 0.206 x2

=====

(6)
Structure and calculated powder X-ray diffraction pattern of PmNpGa6 (a DFT-relaxed cell (PBE, Alexandria); Cu Kα (λ = 1.5418 Å)).
Peak positions follow from Bragg's law for the DFT cell and can differ from measured ones.

The 8 most intense peaks (10° ≤ 2θ ≤ 90°), in order of rising 2θ:
- 24.8 deg, I 23.5
- 29.1 deg, I 42.9
- 32.8 deg, I 44.9
- 33.5 deg, I 25.1
- 36.4 deg, I 71.4
- 38.8 deg, I 100.0
- 40.8 deg, I 36.4
- 53.4 deg, I 22.7

Cell and atoms:
abc: 4.419 6.141 5.950
angles: 90.00 90.00 90.00
Space group Pmm2 (No. 25)
Inequivalent atoms, fractional coordinates:
Pm 0.000 0.000 0.000 x1
Np 0.500 0.500 0.241 x1
Ga 0.000 0.252 0.478 x2
Ga 0.000 0.500 0.894 x1
Ga 0.500 0.000 0.367 x1
Ga 0.500 0.266 0.757 x2

=====

(7)
Structure and calculated powder X-ray diffraction pattern of NpGa3Pt7 (a DFT-relaxed cell (PBE, Alexandria); Cu Kα (λ = 1.5418 Å)).
Peak positions follow from Bragg's law for the DFT cell and can differ from measured ones.

The 8 most intense peaks (10° ≤ 2θ ≤ 90°), in order of rising 2θ:
- 30.6 deg, I 39.3
- 33.5 deg, I 100.0
- 37.1 deg, I 44.9
- 38.9 deg, I 84.4
- 40.0 deg, I 82.5
- 40.2 deg, I 99.4
- 48.5 deg, I 34.6
- 52.3 deg, I 38.7

Cell and atoms:
abc: 8.211 9.254 5.588
angles: 90.00 113.59 90.00
Space group C2/m (No. 12)
Inequivalent atoms, fractional coordinates:
Np 0.000 0.000 0.000 x2
Ga 0.000 0.273 0.500 x4
Ga 0.000 0.500 0.000 x2
Pt 0.000 0.000 0.500 x2
Pt 0.183 0.500 0.538 x4
Pt 0.186 0.279 0.187 x8

=====

(8)
Structure and calculated powder X-ray diffraction pattern of Np2Ga6Pt (a DFT-relaxed cell (PBE, Alexandria); Cu Kα (λ = 1.5418 Å)).
Peak positions follow from Bragg's law for the DFT cell and can differ from measured ones.

The 8 most intense peaks (10° ≤ 2θ ≤ 90°), in order of rising 2θ:
- 23.6 deg, I 34.9
- 30.1 deg, I 49.6
- 34.3 deg, I 57.7
- 36.9 deg, I 62.9
- 38.6 deg, I 100.0
- 48.3 deg, I 22.7
- 58.0 deg, I 24.8
- 62.5 deg, I 27.0

Cell and atoms:
abc: 5.9420 5.9420 5.5259
angles: 90.00 90.00 120.00
Space group P-3m1 (No. 164)
Inequivalent atoms, fractional coordinates:
Np 0.3333 0.6667 0.1732 x2
Ga 0.1789 0.3578 0.6824 x6
Pt 0.0000 0.0000 0.0000 x1

=====

(9)
Structure and calculated powder X-ray diffraction pattern of Pu4Np2Ga3 (a DFT-relaxed cell (PBE, Alexandria); Cu Kα (λ = 1.5418 Å)).
Peak positions follow from Bragg's law for the DFT cell and can differ from measured ones.

The 8 most intense peaks (10° ≤ 2θ ≤ 90°), in order of rising 2θ:
- 20.6 deg, I 43.1
- 21.5 deg, I 34.0
- 28.5 deg, I 34.7
- 35.2 deg, I 51.1
- 35.9 deg, I 100.0
- 42.3 deg, I 28.5
- 50.7 deg, I 44.0
- 57.2 deg, I 26.2

Cell and atoms:
abc: 9.720 14.398 4.697
angles: 90.00 93.48 90.00
Space group C2/c (No. 15)
Inequivalent atoms, fractional coordinates:
Pu 0.092 0.177 0.431 x8
Pu 0.119 0.465 0.321 x8
Np 0.211 0.303 0.221 x8
Ga 0.000 0.341 0.750 x4
Ga 0.116 0.043 0.934 x8

=====

(10)
Structure and calculated powder X-ray diffraction pattern of PuNpGa (a DFT-relaxed cell (PBE, Alexandria); Cu Kα (λ = 1.5418 Å)).
Peak positions follow from Bragg's law for the DFT cell and can differ from measured ones.

The 8 most intense peaks (10° ≤ 2θ ≤ 90°), in order of rising 2θ:
- 19.3 deg, I 83.3
- 24.5 deg, I 74.5
- 36.8 deg, I 97.8
- 38.8 deg, I 31.4
- 39.6 deg, I 44.5
- 40.8 deg, I 100.0
- 48.1 deg, I 49.6
- 52.1 deg, I 28.7

Cell and atoms:
abc: 5.076 5.861 8.127
angles: 90.00 113.93 90.00
Space group P2_1/c (No. 14)
Inequivalent atoms, fractional coordinates:
Pu 0.190 0.137 0.047 x4
Np 0.369 0.080 0.805 x4
Ga 0.256 0.593 0.895 x4

=====

(11)
Structure and calculated powder X-ray diffraction pattern of Pu2NpGa (a DFT-relaxed cell (PBE, Alexandria); Cu Kα (λ = 1.5418 Å)).
Peak positions follow from Bragg's law for the DFT cell and can differ from measured ones.

The 8 most intense peaks (10° ≤ 2θ ≤ 90°), in order of rising 2θ:
- 34.2 deg, I 100.0
- 39.6 deg, I 33.9
- 40.0 deg, I 16.4
- 57.2 deg, I 11.8
- 57.5 deg, I 23.3
- 68.3 deg, I 28.0
- 69.0 deg, I 13.6
- 72.1 deg, I 12.0

Cell and atoms:
abc: 4.556 4.556 4.507
angles: 90.00 90.00 90.00
Space group P4/mmm (No. 123)
Inequivalent atoms, fractional coordinates:
Pu 0.000 0.500 0.000 x2
Np 0.000 0.000 0.500 x1
Ga 0.500 0.500 0.500 x1

=====

(12)
Structure and calculated powder X-ray diffraction pattern of PuNp4Ga15 (a DFT-relaxed cell (PBE, Alexandria); Cu Kα (λ = 1.5418 Å)).
Peak positions follow from Bragg's law for the DFT cell and can differ from measured ones.

The 8 most intense peaks (10° ≤ 2θ ≤ 90°), in order of rising 2θ:
- 17.6 deg, I 66.2
- 19.2 deg, I 27.1
- 35.5 deg, I 100.0
- 37.6 deg, I 84.7
- 39.0 deg, I 38.9
- 44.2 deg, I 53.9
- 60.4 deg, I 42.5
- 74.4 deg, I 22.9

Cell and atoms:
abc: 5.515 6.187 12.458
angles: 90.52 100.25 111.06
Space group P-1 (No. 2)
Inequivalent atoms, fractional coordinates:
Pu 0.000 0.000 0.000 x1
Np 0.001 0.210 0.794 x2
Np 0.001 0.402 0.600 x2
Ga 0.000 0.500 0.000 x1
Ga 0.001 0.902 0.599 x2
Ga 0.002 0.708 0.799 x2
Ga 0.498 0.602 0.902 x2
Ga 0.499 0.199 0.297 x2
Ga 0.499 0.695 0.302 x2
Ga 0.499 0.895 0.102 x2
Ga 0.500 0.000 0.500 x1
Ga 0.500 0.500 0.500 x1

=====

(13)
Structure and calculated powder X-ray diffraction pattern of Pu2NpGa6 (a DFT-relaxed cell (PBE, Alexandria); Cu Kα (λ = 1.5418 Å)).
Peak positions follow from Bragg's law for the DFT cell and can differ from measured ones.

The 8 most intense peaks (10° ≤ 2θ ≤ 90°), in order of rising 2θ:
- 22.1 deg, I 44.1
- 35.8 deg, I 100.0
- 38.8 deg, I 61.7
- 45.1 deg, I 7.3
- 53.8 deg, I 31.6
- 68.3 deg, I 31.1
- 70.3 deg, I 10.8
- 71.5 deg, I 20.7

Cell and atoms:
abc: 8.0370 8.0370 3.2103
angles: 90.00 90.00 120.00
Space group P6/mmm (No. 191)
Inequivalent atoms, fractional coordinates:
Pu 0.3333 0.6667 0.0000 x2
Np 0.0000 0.0000 0.0000 x1
Ga 0.0000 0.3329 0.5000 x6